Entry 1:
Diffraction record for La3NdAu. The powder diffraction line list is calculated, not measured: it uses a GGA-PBE-relaxed structure and Cu Kα, 1.54184 Å.
Intensities are scaled so that the largest is 100.

Cell and atoms:
```
data_La3NdAu
_chemical_formula_sum 'La12 Nd4 Au4'
_cell_length_a 12.402
_cell_length_b 8.882
_cell_length_c 8.404
_cell_angle_alpha 90.00
_cell_angle_beta 129.34
_cell_angle_gamma 90.00
_space_group_name_H-M_alt 'C 1 2/m 1'
_space_group_IT_number 12
loop_
_space_group_symop_operation_xyz
'x,y,z'
'-x,-y,-z'
'-x,y,-z'
'x,-y,z'
'x+1/2,y+1/2,z'
'-x+1/2,-y+1/2,-z'
'-x+1/2,y+1/2,-z'
'x+1/2,-y+1/2,z'
loop_
_atom_site_label
_atom_site_type_symbol
_atom_site_fract_x
_atom_site_fract_y
_atom_site_fract_z
La1 La 0.043 0.000 0.303
La2 La 0.203 0.308 0.730
Nd1 Nd 0.076 0.500 0.266
Au1 Au 0.233 0.500 0.087
```

Peak list (12 most intense, 10 to 80 degrees two-theta, sorted by position)
| (hkl) | two_theta | I/Imax |
| --- | --- | --- |
| 2 0 0 | 18.5 | 27 |
| 0 2 0 | 20.0 | 36 |
| 0 0 2 | 27.4 | 55 |
| 2 2 -2 | 29.3 | 100 |
| 4 0 -1 | 30.5 | 58 |
| 1 3 -1 | 32.1 | 54 |
| 3 1 -3 | 33.6 | 48 |
| 4 0 -3 | 33.9 | 27 |
| 2 2 1 | 35.8 | 83 |
| 5 1 -2 | 37.7 | 23 |
| 5 3 -2 | 47.9 | 44 |
| 2 2 -4 | 50.9 | 40 |



Entry 2:
Diffraction record for La2NdAu. The powder diffraction line list is calculated, not measured: it uses a GGA-PBE-relaxed structure and Cu Kα, 1.54184 Å.
Intensities are scaled so that the largest is 100.

Cell and atoms:
```
data_La2NdAu
_chemical_formula_sum 'La4 Nd2 Au2'
_cell_length_a 3.899
_cell_length_b 10.357
_cell_length_c 6.562
_cell_angle_alpha 90.00
_cell_angle_beta 107.24
_cell_angle_gamma 90.00
_space_group_name_H-M_alt 'P 1 21/m 1'
_space_group_IT_number 11
loop_
_space_group_symop_operation_xyz
'x,y,z'
'-x,-y,-z'
'-x,y+1/2,-z'
'x,-y+1/2,z'
loop_
_atom_site_label
_atom_site_type_symbol
_atom_site_fract_x
_atom_site_fract_y
_atom_site_fract_z
La1 La 0.133 0.049 0.267
Nd1 Nd 0.431 0.250 0.864
Au1 Au 0.267 0.750 0.534
```

Peak list (12 most intense, 10 to 80 degrees two-theta, sorted by position)
| (hkl) | two_theta | I/Imax |
| --- | --- | --- |
| 0 0 1 | 14.1 | 16 |
| 1 2 0 | 29.5 | 100 |
| 0 1 2 | 29.8 | 22 |
| 1 1 1 | 32.6 | 83 |
| 0 2 2 | 33.4 | 39 |
| 0 4 0 | 34.6 | 23 |
| 1 3 -1 | 35.5 | 42 |
| 1 2 1 | 36.0 | 18 |
| 2 0 -1 | 46.6 | 22 |
| 1 5 1 | 54.8 | 32 |
| 1 0 3 | 56.6 | 21 |
| 2 2 -3 | 58.5 | 16 |